Structure and simulated powder XRD pattern of Ac3TlZn3 (a DFT-relaxed cell (PBE, Alexandria); copper Kα).

```
data_Ac3TlZn3
_space_group_name_H-M_alt 'C 1 2/m 1'
_space_group_IT_number 12
_space_group_name_Hall '-C 2y'
_cell_length_a 11.469
_cell_length_b 4.891
_cell_length_c 15.776
_cell_angle_alpha 90.00
_cell_angle_beta 110.28
_cell_angle_gamma 90.00
loop_
_atom_site_label
_atom_site_type_symbol
_atom_site_fract_x
_atom_site_fract_y
_atom_site_fract_z
Ac1 Ac 0.040 0.000 0.381
Ac2 Ac 0.107 0.000 0.925
Ac3 Ac 0.249 0.000 0.219
Tl1 Tl 0.248 0.500 0.394
Zn1 Zn 0.041 0.500 0.224
Zn2 Zn 0.099 0.500 0.074
Zn3 Zn 0.122 0.500 0.539
```

Main lines, low angle first (2θ from 10° to 80°):
d 3.090, 28.89 deg, rel. 100; d 3.070, 29.09 deg, rel. 65; d 2.994, 29.84 deg, rel. 91; d 2.868, 31.19 deg, rel. 49; d 2.469, 36.39 deg, rel. 74; d 2.445, 36.75 deg, rel. 57